For Ce11Ni4Ge9, a GGA-PBE-relaxed structure gives the simulated XRD peak list in this record (Cu Kα (λ = 1.5418 Å)).
Neutral-atom scattering factors, no anomalous dispersion.

Lattice parameters (Å, degrees): 11.7387 11.7387 3.9971 90.00 90.00 112.22
Element x y z (fractional)
Ce  0.0000  0.0000  0.0000
Ce  0.0572  0.4129  0.0000
Ce  0.1651  0.8349  0.0000
Ce  0.3095  0.3095  0.0000
Ce  0.3734  0.6266  0.0000
Ce  0.4129  0.0572  0.0000
Ce  0.5871  0.9428  0.0000
Ce  0.6266  0.3734  0.0000
Ce  0.6905  0.6905  0.0000
Ce  0.8349  0.1651  0.0000
Ce  0.9428  0.5871  0.0000
Ni  0.2439  0.4459  0.5000
Ni  0.4459  0.2439  0.5000
Ni  0.5541  0.7561  0.5000
Ni  0.7561  0.5541  0.5000
Ge  0.0780  0.2227  0.5000
Ge  0.1648  0.6255  0.5000
Ge  0.2227  0.0780  0.5000
Ge  0.3745  0.8352  0.5000
Ge  0.5000  0.5000  0.5000
Ge  0.6255  0.1648  0.5000
Ge  0.7773  0.9220  0.5000
Ge  0.8352  0.3745  0.5000
Ge  0.9220  0.7773  0.5000

Peak list (10 most intense, 10° ≤ 2θ ≤ 90°, sorted by position)
d_spacing  2θ (°)  I/Imax
2.911  30.72  24
2.794  32.03  28
2.684  33.38  36
2.532  35.45  100
2.521  35.62  98
2.351  38.29  33
2.305  39.07  55
1.998  45.38  46
1.510  61.40  28
1.233  77.36  25

For Th2Ni2H7, a GGA-PBE-relaxed structure gives the simulated XRD peak list in this record (Cu Kα (λ = 1.5418 Å)).
Neutral-atom scattering factors, no anomalous dispersion.

Lattice parameters (Å, degrees): 5.4512 5.4512 3.8537 100.15 100.15 99.46
Element x y z (fractional)
Th  0.2468  0.7532  0.0000
Th  0.7532  0.2468  0.0000
Ni  0.2350  0.2350  0.5424
Ni  0.7650  0.7650  0.4576
H  0.0000  0.0000  0.5000
H  0.1584  0.4819  0.4004
H  0.3054  0.3054  0.9645
H  0.4819  0.1584  0.4004
H  0.5181  0.8416  0.5996
H  0.6946  0.6946  0.0355
H  0.8416  0.5181  0.5996

Peak list (10 most intense, 10° ≤ 2θ ≤ 90°, sorted by position)
d_spacing  2θ (°)  I/Imax
4.159  21.36  41
3.708  24.00  32
3.390  26.29  26
2.931  30.49  57
2.768  32.35  100
2.628  34.12  88
2.396  37.54  23
2.219  40.66  29
1.695  54.10  43
1.383  67.73  34

For Sr2SnS4, a GGA-PBE-relaxed structure gives the simulated XRD peak list in this record (Cu Kα (λ = 1.5418 Å)).
Neutral-atom scattering factors, no anomalous dispersion.

Lattice parameters (Å, degrees): 10.0918 6.4137 6.4137 110.27 90.00 90.00
Element x y z (fractional)
Sr  0.0000  0.0000  0.0000
Sr  0.2500  0.6446  0.2688
Sr  0.5000  0.0000  0.0000
Sr  0.7500  0.2688  0.6446
Sn  0.2500  0.2451  0.6936
Sn  0.7500  0.6936  0.2451
S  0.0564  0.4337  0.8938
S  0.2500  0.1711  0.2976
S  0.2500  0.8826  0.7416
S  0.4436  0.4337  0.8938
S  0.5564  0.8938  0.4337
S  0.7500  0.2976  0.1711
S  0.7500  0.7416  0.8826
S  0.9436  0.8938  0.4337

Peak list (10 most intense, 10° ≤ 2θ ≤ 90°, sorted by position)
d_spacing  2θ (°)  I/Imax
5.046  17.58  24
3.866  23.00  40
3.666  24.28  21
3.642  24.44  32
3.165  28.20  46
2.966  30.13  19
2.584  34.72  100
2.523  35.58  30
1.973  46.01  22
1.878  48.47  24

For La3BiO2, a GGA-PBE-relaxed structure gives the simulated XRD peak list in this record (Cu Kα (λ = 1.5418 Å)).
Neutral-atom scattering factors, no anomalous dispersion.

Lattice parameters (Å, degrees): 7.0301 7.0301 7.0301 139.62 139.62 58.43
Element x y z (fractional)
La  0.0000  0.0000  0.0000
La  0.2500  0.7500  0.5000
La  0.7500  0.2500  0.5000
Bi  0.5000  0.5000  0.0000
O  0.1994  0.1994  0.0000
O  0.8006  0.8006  0.0000

Peak list (10 most intense, 10° ≤ 2θ ≤ 90°, sorted by position)
d_spacing  2θ (°)  I/Imax
3.068  29.11  30
2.995  29.83  100
2.426  37.05  34
1.903  47.80  31
1.757  52.06  24
1.716  53.41  12
1.497  61.98  14
1.489  62.38  25
1.297  72.97  8
1.227  77.82  15

For Li14Al2S9, a GGA-PBE-relaxed structure gives the simulated XRD peak list in this record (Cu Kα (λ = 1.5418 Å)).
Neutral-atom scattering factors, no anomalous dispersion.

Lattice parameters (Å, degrees): 7.0605 7.0605 9.8258 90.00 90.00 120.00
Element x y z (fractional)
Li  0.0000  0.0000  0.2477
Li  0.0000  0.0000  0.7523
Li  0.0249  0.6806  0.9146
Li  0.0618  0.3816  0.5897
Li  0.3194  0.3443  0.9146
Li  0.3198  0.9382  0.5897
Li  0.3443  0.0249  0.0854
Li  0.3816  0.3198  0.4103
Li  0.6184  0.6802  0.5897
Li  0.6557  0.9751  0.9146
Li  0.6802  0.0618  0.4103
Li  0.6806  0.6557  0.0854
Li  0.9382  0.6184  0.4103
Li  0.9751  0.3194  0.0854
Al  0.3333  0.6667  0.2595
Al  0.6667  0.3333  0.7405
S  0.0000  0.0000  0.0000
S  0.0436  0.3470  0.3354
S  0.3034  0.9564  0.3354
S  0.3333  0.6667  0.0250
S  0.3470  0.3034  0.6646
S  0.6530  0.6966  0.3354
S  0.6667  0.3333  0.9750
S  0.6966  0.0436  0.6646
S  0.9564  0.6530  0.6646

Peak list (10 most intense, 10° ≤ 2θ ≤ 90°, sorted by position)
d_spacing  2θ (°)  I/Imax
5.191  17.08  43
3.322  26.83  100
3.275  27.23  37
2.867  31.20  23
2.038  44.45  39
2.016  44.96  41
1.737  52.69  10
1.730  52.91  22
1.717  53.36  9
1.433  65.07  10

Repeat the fifth record exactly.
For Li14Al2S9, a GGA-PBE-relaxed structure gives the simulated XRD peak list in this record (Cu Kα (λ = 1.5418 Å)).
Neutral-atom scattering factors, no anomalous dispersion.

Lattice parameters (Å, degrees): 7.0605 7.0605 9.8258 90.00 90.00 120.00
Element x y z (fractional)
Li  0.0000  0.0000  0.2477
Li  0.0000  0.0000  0.7523
Li  0.0249  0.6806  0.9146
Li  0.0618  0.3816  0.5897
Li  0.3194  0.3443  0.9146
Li  0.3198  0.9382  0.5897
Li  0.3443  0.0249  0.0854
Li  0.3816  0.3198  0.4103
Li  0.6184  0.6802  0.5897
Li  0.6557  0.9751  0.9146
Li  0.6802  0.0618  0.4103
Li  0.6806  0.6557  0.0854
Li  0.9382  0.6184  0.4103
Li  0.9751  0.3194  0.0854
Al  0.3333  0.6667  0.2595
Al  0.6667  0.3333  0.7405
S  0.0000  0.0000  0.0000
S  0.0436  0.3470  0.3354
S  0.3034  0.9564  0.3354
S  0.3333  0.6667  0.0250
S  0.3470  0.3034  0.6646
S  0.6530  0.6966  0.3354
S  0.6667  0.3333  0.9750
S  0.6966  0.0436  0.6646
S  0.9564  0.6530  0.6646

Peak list (10 most intense, 10° ≤ 2θ ≤ 90°, sorted by position)
d_spacing  2θ (°)  I/Imax
5.191  17.08  43
3.322  26.83  100
3.275  27.23  37
2.867  31.20  23
2.038  44.45  39
2.016  44.96  41
1.737  52.69  10
1.730  52.91  22
1.717  53.36  9
1.433  65.07  10

Question: What is the formula in the second record?
Answer: Th2Ni2H7

Question: Number 1 is which compound?
Answer: Ce11Ni4Ge9